For Ga6RuPt3, the GGA-PBE geometry in Alexandria gives the simulated powder diffraction line list in this record (CuKα).

Cell and atoms:
```
data_Ga6RuPt3
_chemical_formula_sum 'Ga36 Ru6 Pt18'
_cell_length_a 9.8008
_cell_length_b 9.8008
_cell_length_c 13.0540
_cell_angle_alpha 90.00
_cell_angle_beta 90.00
_cell_angle_gamma 120.00
_symmetry_space_group_name_H-M 'R -3'
_symmetry_Int_Tables_number 148
_symmetry_space_group_name_Hall '-R 3'
loop_
_atom_site_label
_atom_site_type_symbol
_atom_site_fract_x
_atom_site_fract_y
_atom_site_fract_z
Ga1 Ga 0.0275 0.8397 0.3543
Ga2 Ga 0.0565 0.8441 0.8845
Ru1 Ru 0.0000 0.0000 0.0000
Ru2 Ru 0.0000 0.0000 0.5000
Pt1 Pt 0.0171 0.5757 0.8444
```

Principal peaks in the range 10° ≤ 2θ ≤ 90°, in order of rising 2θ:
2theta, I (rel.)
20.41, 54
22.02, 21
27.41, 42
28.65, 53
38.87, 32
39.38, 48
40.75, 100
47.63, 42

For SrPuInO6, the GGA-PBE geometry in Alexandria gives the simulated powder diffraction line list in this record (CuKα).

Cell and atoms:
```
data_SrPuInO6
_chemical_formula_sum 'Sr2 Pu2 In2 O12'
_cell_length_a 5.5679
_cell_length_b 5.5679
_cell_length_c 10.8142
_cell_angle_alpha 90.00
_cell_angle_beta 90.00
_cell_angle_gamma 120.00
_symmetry_space_group_name_H-M 'P -3 1 c'
_symmetry_Int_Tables_number 163
_symmetry_space_group_name_Hall '-P 3 2c'
loop_
_atom_site_label
_atom_site_type_symbol
_atom_site_fract_x
_atom_site_fract_y
_atom_site_fract_z
Sr1 Sr 0.0000 0.0000 0.0000
Pu1 Pu 0.3333 0.6667 0.2500
In1 In 0.3333 0.6667 0.7500
O1 O 0.0243 0.3746 0.1446
```

Principal peaks in the range 10° ≤ 2θ ≤ 90°, in order of rising 2θ:
2theta, I (rel.)
16.39, 51
20.16, 25
24.74, 100
32.15, 55
36.30, 36
40.99, 25
46.84, 58
53.02, 25

For CeDyAgSn, the GGA-PBE geometry in Alexandria gives the simulated powder diffraction line list in this record (CuKα).

Cell and atoms:
```
data_CeDyAgSn
_chemical_formula_sum 'Ce4 Dy4 Ag4 Sn4'
_cell_length_a 7.518
_cell_length_b 7.518
_cell_length_c 7.518
_cell_angle_alpha 90.00
_cell_angle_beta 90.00
_cell_angle_gamma 90.00
_symmetry_space_group_name_H-M 'F -4 3 m'
_symmetry_Int_Tables_number 216
_symmetry_space_group_name_Hall 'F -4 2 3'
loop_
_atom_site_label
_atom_site_type_symbol
_atom_site_fract_x
_atom_site_fract_y
_atom_site_fract_z
Ce1 Ce 0.000 0.000 0.000
Dy1 Dy 0.000 0.000 0.500
Ag1 Ag 0.250 0.250 0.250
Sn1 Sn 0.250 0.250 0.750
```

Principal peaks in the range 10° ≤ 2θ ≤ 90°, in order of rising 2θ:
2theta, I (rel.)
23.67, 2
33.72, 100
41.62, 1
48.43, 18
54.60, 1
60.32, 37
70.92, 12
80.87, 16